# Sn5SbTe7
Computed powder diffractogram, CuKα. Input: a DFT-relaxed cell (PBE, Alexandria).

Crystal structure
Lattice parameters (Å, degrees): 14.7281 4.4083 26.4855 90.00 90.03 90.00
Space group C2/m (No. 12)
Asymmetric unit:
Sn (0.0000, 0.0000, 0.0000)
Sn (0.0000, 0.0000, 0.5000)
Sn (0.0442, 0.5000, 0.1482)
Sn (0.0439, 0.5000, 0.3518)
Sn (0.2274, 0.5000, 0.9238)
Sn (0.2276, 0.5000, 0.5762)
Sb (0.2070, 0.0000, 0.7499)
Te (0.0649, 0.5000, 0.7501)
Te (0.0894, 0.0000, 0.8905)
Te (0.0897, 0.0000, 0.6095)
Te (0.1357, 0.5000, 0.0376)
Te (0.1356, 0.5000, 0.4624)
Te (0.1869, 0.0000, 0.1805)
Te (0.1866, 0.0000, 0.3196)

Top 10 peaks for 5° ≤ 2θ ≤ 70°, in order of rising 2θ:
- 2θ = 26.48°, d = 3.365 Å, rel. 77, hkl 2 0 7
- 2θ = 28.03°, d = 3.184 Å, rel. 88, hkl 3 1 2
- 2θ = 29.04°, d = 3.075 Å, rel. 100, hkl 3 1 -3
- 2θ = 29.58°, d = 3.020 Å, rel. 31, hkl 2 0 -8
- 2θ = 37.25°, d = 2.414 Å, rel. 40, hkl 1 1 -9
- 2θ = 39.21°, d = 2.298 Å, rel. 36, hkl 5 1 4
- 2θ = 40.19°, d = 2.244 Å, rel. 41, hkl 1 1 -10
- 2θ = 40.55°, d = 2.225 Å, rel. 66, hkl 6 0 -5
- 2θ = 40.94°, d = 2.204 Å, rel. 46, hkl 0 2 0
- 2θ = 49.43°, d = 1.844 Å, rel. 28, hkl 2 2 7